No. 1
This entry pairs a crystal structure of Rb7SeCl5 with its simulated XRD peak list. Radiation: Cu Kα X-rays. Structure: the GGA-PBE geometry in Alexandria.

Largest 12 diffraction maxima, by angle, 2θ from 15° to 90°:
- hkl 4 1 1, 23.4°, d = 3.809 Å, I = 20
- hkl 7 0 2, 25.3°, d = 3.518 Å, I = 100
- hkl 2 1 3, 26.1°, d = 3.418 Å, I = 77
- hkl 3 1 3, 27.1°, d = 3.293 Å, I = 77
- hkl 8 0 2, 28.3°, d = 3.153 Å, I = 19
- hkl 9 1 1, 35.3°, d = 2.543 Å, I = 27
- hkl 4 1 5, 36.7°, d = 2.451 Å, I = 24
- hkl 0 2 0, 37.6°, d = 2.390 Å, I = 35
- hkl 5 1 5, 38.0°, d = 2.368 Å, I = 24
- hkl 5 0 6, 38.1°, d = 2.361 Å, I = 47
- hkl 7 2 2, 45.9°, d = 1.977 Å, I = 32
- hkl 5 2 6, 54.6°, d = 1.680 Å, I = 16

```
data_Rb7SeCl5
_chemical_formula_sum 'Rb28 Se4 Cl20'
_symmetry_space_group_name_H-M 'A m m 2'
_symmetry_Int_Tables_number 38
_cell_length_a 27.5477
_cell_length_b 4.7793
_cell_length_c 15.6894
_cell_angle_alpha 90.00
_cell_angle_beta 90.00
_cell_angle_gamma 90.00
loop_
_symmetry_equiv_pos_as_xyz
'x,y,z'
'-x,-y,z'
'-x,y,z'
'x,-y,z'
'x,y+1/2,z+1/2'
'-x,-y+1/2,z+1/2'
'-x,y+1/2,z+1/2'
'x,-y+1/2,z+1/2'
loop_
_atom_site_label
_atom_site_type_symbol
_atom_site_fract_x
_atom_site_fract_y
_atom_site_fract_z
_atom_site_occupancy
Rb1 Rb 0.0000 0.0000 0.0000 1
Rb2 Rb 0.0704 0.0000 0.7491 1
Rb3 Rb 0.1374 0.0000 0.4660 1
Rb4 Rb 0.2134 0.0000 0.1945 1
Rb5 Rb 0.2864 0.0000 0.9256 1
Rb6 Rb 0.3624 0.0000 0.6540 1
Rb7 Rb 0.4295 0.0000 0.3708 1
Rb8 Rb 0.5000 0.0000 0.1198 1
Se1 Se 0.0000 0.0000 0.3532 1
Se2 Se 0.5000 0.0000 0.7666 1
Cl1 Cl 0.1042 0.0000 0.1022 1
Cl2 Cl 0.1779 0.0000 0.8344 1
Cl3 Cl 0.2499 0.0000 0.5601 1
Cl4 Cl 0.3219 0.0000 0.2857 1
Cl5 Cl 0.3958 0.0000 0.0174 1
```

No. 2
This entry pairs a crystal structure of RbTl2SeCl with its simulated XRD peak list. Radiation: Cu Kα X-rays. Structure: the GGA-PBE geometry in Alexandria.

Largest 12 diffraction maxima, by angle, 2θ from 15° to 90°:
- hkl 2 0 1, 24.7°, d = 3.602 Å, I = 34
- hkl 0 0 3, 26.2°, d = 3.405 Å, I = 30
- hkl 2 0 -2, 26.4°, d = 3.378 Å, I = 57
- hkl 0 1 2, 26.6°, d = 3.348 Å, I = 100
- hkl 1 1 -2, 28.0°, d = 3.186 Å, I = 85
- hkl 2 0 2, 29.9°, d = 2.990 Å, I = 36
- hkl 2 1 -1, 30.4°, d = 2.938 Å, I = 45
- hkl 2 1 1, 32.0°, d = 2.796 Å, I = 98
- hkl 0 1 3, 33.2°, d = 2.701 Å, I = 52
- hkl 1 1 -3, 33.9°, d = 2.641 Å, I = 30
- hkl 0 2 0, 40.7°, d = 2.216 Å, I = 53
- hkl 2 1 4, 49.0°, d = 1.857 Å, I = 51

```
data_RbTl2SeCl
_chemical_formula_sum 'Rb2 Tl4 Se2 Cl2'
_symmetry_space_group_name_H-M 'P 1 21/m 1'
_symmetry_Int_Tables_number 11
_cell_length_a 8.1328
_cell_length_b 4.4334
_cell_length_c 10.2960
_cell_angle_alpha 90.00
_cell_angle_beta 97.16
_cell_angle_gamma 90.00
loop_
_symmetry_equiv_pos_as_xyz
'x,y,z'
'-x,-y,-z'
'-x,y+1/2,-z'
'x,-y+1/2,z'
loop_
_atom_site_label
_atom_site_type_symbol
_atom_site_fract_x
_atom_site_fract_y
_atom_site_fract_z
_atom_site_occupancy
Rb1 Rb 0.0045 0.2500 0.1962 1
Tl1 Tl 0.3012 0.2500 0.5478 1
Tl2 Tl 0.4957 0.2500 0.1915 1
Se1 Se 0.3184 0.7500 0.3495 1
Cl1 Cl 0.2349 0.2500 0.9586 1
```

No. 3
This entry pairs a crystal structure of Rb2ZnSeCl6 with its simulated XRD peak list. Radiation: Cu Kα X-rays. Structure: the GGA-PBE geometry in Alexandria.

Largest 12 diffraction maxima, by angle, 2θ from 15° to 90°:
- hkl 2 0 0, 23.1°, d = 3.850 Å, I = 57
- hkl 1 1 2, 25.5°, d = 3.490 Å, I = 88
- hkl 2 0 2, 30.4°, d = 2.938 Å, I = 49
- hkl 2 2 0, 32.9°, d = 2.723 Å, I = 100
- hkl 0 0 4, 39.6°, d = 2.273 Å, I = 30
- hkl 3 1 2, 42.1°, d = 2.147 Å, I = 44
- hkl 2 0 4, 46.4°, d = 1.958 Å, I = 19
- hkl 4 0 0, 47.2°, d = 1.925 Å, I = 33
- hkl 2 2 4, 52.4°, d = 1.745 Å, I = 49
- hkl 4 2 0, 53.2°, d = 1.722 Å, I = 14
- hkl 4 0 4, 63.3°, d = 1.469 Å, I = 26
- hkl 5 1 2, 65.1°, d = 1.433 Å, I = 14

```
data_Rb2ZnSeCl6
_chemical_formula_sum 'Rb4 Zn2 Se2 Cl12'
_symmetry_space_group_name_H-M 'I 4/m m m'
_symmetry_Int_Tables_number 139
_symmetry_space_group_name_Hall '-I 4 2'
_cell_length_a 7.7009
_cell_length_b 7.7009
_cell_length_c 9.0939
_cell_angle_alpha 90.00
_cell_angle_beta 90.00
_cell_angle_gamma 90.00
loop_
_atom_site_label
_atom_site_type_symbol
_atom_site_fract_x
_atom_site_fract_y
_atom_site_fract_z
_atom_site_occupancy
Rb1 Rb 0.0000 0.5000 0.2500 1
Zn1 Zn 0.0000 0.0000 0.0000 1
Se1 Se 0.0000 0.0000 0.5000 1
Cl1 Cl 0.0000 0.0000 0.2504 1
Cl2 Cl 0.2295 0.2295 0.0000 1
```

No. 4
This entry pairs a crystal structure of Rb2SmCl6 with its simulated XRD peak list. Radiation: Cu Kα X-rays. Structure: the GGA-PBE geometry in Alexandria.

Largest 12 diffraction maxima, by angle, 2θ from 15° to 90°:
- hkl 0 3 1, 21.2°, d = 4.188 Å, I = 83
- hkl 1 2 0, 23.7°, d = 3.760 Å, I = 75
- hkl 1 0 2, 29.5°, d = 3.033 Å, I = 35
- hkl 1 2 2, 32.0°, d = 2.798 Å, I = 78
- hkl 0 3 3, 37.2°, d = 2.418 Å, I = 64
- hkl 1 5 1, 38.7°, d = 2.327 Å, I = 100
- hkl 2 0 0, 41.1°, d = 2.198 Å, I = 24
- hkl 2 3 1, 46.7°, d = 1.946 Å, I = 22
- hkl 1 2 4, 49.8°, d = 1.829 Å, I = 26
- hkl 2 3 3, 56.6°, d = 1.627 Å, I = 36
- hkl 0 9 1, 58.3°, d = 1.583 Å, I = 21
- hkl 1 8 2, 59.4°, d = 1.556 Å, I = 25

```
data_Rb2SmCl6
_chemical_formula_sum 'Rb4 Sm2 Cl12'
_symmetry_space_group_name_H-M 'A m m 2'
_symmetry_Int_Tables_number 38
_cell_length_a 4.3967
_cell_length_b 14.5195
_cell_length_c 8.3700
_cell_angle_alpha 90.00
_cell_angle_beta 90.00
_cell_angle_gamma 90.00
loop_
_symmetry_equiv_pos_as_xyz
'x,y,z'
'-x,-y,z'
'-x,y,z'
'x,-y,z'
'x,y+1/2,z+1/2'
'-x,-y+1/2,z+1/2'
'-x,y+1/2,z+1/2'
'x,-y+1/2,z+1/2'
loop_
_atom_site_label
_atom_site_type_symbol
_atom_site_fract_x
_atom_site_fract_y
_atom_site_fract_z
_atom_site_occupancy
Rb1 Rb 0.0000 0.1668 0.0000 1
Sm1 Sm 0.5000 0.0000 0.5006 1
Cl1 Cl 0.0000 0.0000 0.7298 1
Cl2 Cl 0.0000 0.1144 0.3857 1
Cl3 Cl 0.5000 0.0000 0.1590 1
Cl4 Cl 0.5000 0.1709 0.6708 1
```

No. 5
This entry pairs a crystal structure of RbSn2Cl4 with its simulated XRD peak list. Radiation: Cu Kα X-rays. Structure: the GGA-PBE geometry in Alexandria.

Largest 12 diffraction maxima, by angle, 2θ from 15° to 90°:
- hkl 0 2 0, 16.0°, d = 5.538 Å, I = 100
- hkl 1 1 -2, 20.5°, d = 4.339 Å, I = 73
- hkl 3 1 -1, 21.6°, d = 4.109 Å, I = 95
- hkl 2 2 0, 23.7°, d = 3.759 Å, I = 29
- hkl 2 2 -2, 23.8°, d = 3.744 Å, I = 39
- hkl 1 3 0, 25.7°, d = 3.471 Å, I = 58
- hkl 1 3 1, 30.7°, d = 2.909 Å, I = 52
- hkl 1 1 -3, 31.5°, d = 2.844 Å, I = 97
- hkl 5 1 -3, 33.9°, d = 2.645 Å, I = 31
- hkl 2 4 -2, 37.0°, d = 2.433 Å, I = 31
- hkl 2 0 2, 38.1°, d = 2.364 Å, I = 32
- hkl 2 2 -4, 41.7°, d = 2.166 Å, I = 30

```
data_RbSn2Cl4
_chemical_formula_sum 'Rb4 Sn8 Cl16'
_symmetry_space_group_name_H-M 'C 1 2 1'
_symmetry_Int_Tables_number 5
_cell_length_a 13.8639
_cell_length_b 11.0760
_cell_length_c 10.1971
_cell_angle_alpha 90.00
_cell_angle_beta 132.42
_cell_angle_gamma 90.00
loop_
_symmetry_equiv_pos_as_xyz
'x,y,z'
'-x,y,-z'
'x+1/2,y+1/2,z'
'-x+1/2,y+1/2,-z'
loop_
_atom_site_label
_atom_site_type_symbol
_atom_site_fract_x
_atom_site_fract_y
_atom_site_fract_z
_atom_site_occupancy
Rb1 Rb 0.0000 0.0000 0.0000 1
Rb2 Rb 0.0000 0.3961 0.5000 1
Sn1 Sn 0.1293 0.7289 0.4173 1
Sn2 Sn 0.2147 0.3384 0.1919 1
Cl1 Cl 0.0222 0.9093 0.7125 1
Cl2 Cl 0.0232 0.2968 0.1875 1
Cl3 Cl 0.2119 0.7791 0.2659 1
Cl4 Cl 0.2145 0.6222 0.8034 1
```

No. 6
This entry pairs a crystal structure of Rb3Sn2Cl7 with its simulated XRD peak list. Radiation: Cu Kα X-rays. Structure: the GGA-PBE geometry in Alexandria.

Largest 12 diffraction maxima, by angle, 2θ from 15° to 90°:
- hkl 1 1 0, 22.4°, d = 3.964 Å, I = 86
- hkl 1 0 5, 22.5°, d = 3.945 Å, I = 100
- hkl 2 0 0, 31.9°, d = 2.803 Å, I = 93
- hkl 0 0 10, 32.2°, d = 2.776 Å, I = 33
- hkl 1 0 9, 33.1°, d = 2.702 Å, I = 30
- hkl 2 1 5, 39.4°, d = 2.285 Å, I = 50
- hkl 1 1 10, 39.6°, d = 2.274 Å, I = 23
- hkl 2 2 0, 45.8°, d = 1.982 Å, I = 36
- hkl 2 0 10, 46.0°, d = 1.972 Å, I = 46
- hkl 2 1 9, 46.7°, d = 1.946 Å, I = 23
- hkl 3 1 0, 51.6°, d = 1.772 Å, I = 32
- hkl 2 2 10, 57.1°, d = 1.613 Å, I = 24

```
data_Rb3Sn2Cl7
_chemical_formula_sum 'Rb6 Sn4 Cl14'
_symmetry_space_group_name_H-M 'I 4/m m m'
_symmetry_Int_Tables_number 139
_symmetry_space_group_name_Hall '-I 4 2'
_cell_length_a 5.6064
_cell_length_b 5.6064
_cell_length_c 27.7597
_cell_angle_alpha 90.00
_cell_angle_beta 90.00
_cell_angle_gamma 90.00
loop_
_atom_site_label
_atom_site_type_symbol
_atom_site_fract_x
_atom_site_fract_y
_atom_site_fract_z
_atom_site_occupancy
Rb1 Rb 0.0000 0.0000 0.0000 1
Rb2 Rb 0.0000 0.0000 0.1812 1
Sn1 Sn 0.0000 0.0000 0.3966 1
Cl1 Cl 0.0000 0.0000 0.2978 1
Cl2 Cl 0.0000 0.0000 0.5000 1
Cl3 Cl 0.0000 0.5000 0.1014 1
```

No. 7
This entry pairs a crystal structure of RbSnCl2 with its simulated XRD peak list. Radiation: Cu Kα X-rays. Structure: the GGA-PBE geometry in Alexandria.

Largest 12 diffraction maxima, by angle, 2θ from 15° to 90°:
- hkl 0 0 6, 18.4°, d = 4.827 Å, I = 24
- hkl 1 0 1, 25.1°, d = 3.554 Å, I = 17
- hkl 0 1 2, 25.6°, d = 3.477 Å, I = 100
- hkl 1 0 4, 27.8°, d = 3.211 Å, I = 38
- hkl 0 1 8, 35.2°, d = 2.546 Å, I = 33
- hkl 0 0 12, 37.3°, d = 2.414 Å, I = 15
- hkl 1 0 10, 40.0°, d = 2.252 Å, I = 40
- hkl 1 1 0, 43.8°, d = 2.068 Å, I = 32
- hkl 1 1 6, 47.9°, d = 1.901 Å, I = 14
- hkl 2 0 2, 51.4°, d = 1.777 Å, I = 14
- hkl 1 1 12, 58.8°, d = 1.570 Å, I = 23
- hkl 1 2 2, 69.8°, d = 1.348 Å, I = 12

```
data_RbSnCl2
_chemical_formula_sum 'Rb3 Sn3 Cl6'
_symmetry_space_group_name_H-M 'R -3 m'
_symmetry_Int_Tables_number 166
_symmetry_space_group_name_Hall '-R 3 2"'
_cell_length_a 4.1354
_cell_length_b 4.1354
_cell_length_c 28.9635
_cell_angle_alpha 90.00
_cell_angle_beta 90.00
_cell_angle_gamma 120.00
loop_
_atom_site_label
_atom_site_type_symbol
_atom_site_fract_x
_atom_site_fract_y
_atom_site_fract_z
_atom_site_occupancy
Rb1 Rb 0.0000 0.0000 0.0000 1
Sn1 Sn 0.0000 0.0000 0.5000 1
Cl1 Cl 0.0000 0.0000 0.4066 1
```

No. 8
This entry pairs a crystal structure of Rb2SnCl5 with its simulated XRD peak list. Radiation: Cu Kα X-rays. Structure: the GGA-PBE geometry in Alexandria.

Largest 12 diffraction maxima, by angle, 2θ from 15° to 90°:
- hkl 2 0 0, 22.9°, d = 3.885 Å, I = 31
- hkl 1 1 2, 24.9°, d = 3.569 Å, I = 100
- hkl 2 1 1, 27.4°, d = 3.259 Å, I = 31
- hkl 2 0 2, 29.9°, d = 2.993 Å, I = 52
- hkl 1 0 3, 30.8°, d = 2.903 Å, I = 18
- hkl 2 2 0, 32.6°, d = 2.747 Å, I = 84
- hkl 0 0 4, 38.4°, d = 2.347 Å, I = 26
- hkl 3 1 2, 41.5°, d = 2.177 Å, I = 51
- hkl 4 0 0, 46.8°, d = 1.943 Å, I = 28
- hkl 2 2 4, 51.2°, d = 1.785 Å, I = 42
- hkl 4 0 4, 62.0°, d = 1.497 Å, I = 23
- hkl 5 1 2, 64.2°, d = 1.450 Å, I = 20

```
data_Rb2SnCl5
_chemical_formula_sum 'Rb4 Sn2 Cl10'
_symmetry_space_group_name_H-M 'I 4 m m'
_symmetry_Int_Tables_number 107
_symmetry_space_group_name_Hall 'I 4 -2'
_cell_length_a 7.7709
_cell_length_b 7.7709
_cell_length_c 9.3880
_cell_angle_alpha 90.00
_cell_angle_beta 90.00
_cell_angle_gamma 90.00
loop_
_atom_site_label
_atom_site_type_symbol
_atom_site_fract_x
_atom_site_fract_y
_atom_site_fract_z
_atom_site_occupancy
Rb1 Rb 0.0000 0.5000 0.0000 1
Sn1 Sn 0.0000 0.0000 0.2395 1
Cl1 Cl 0.0000 0.0000 0.9825 1
Cl2 Cl 0.2364 0.2364 0.2567 1
```